Entry 1:
Starting from a PBE-relaxed structure, the XRD peak list of Sc3Al9Ir2 was calculated for λ = 1.5418 Å (Cu Kα).
Peak positions follow from Bragg's law for the DFT cell and can differ from measured ones.

Principal peaks in the range 2θ from 10° to 80°, by angle:
2θ/deg	d/Å	I/Imax
11.87	7.458	83
14.96	5.920	100
22.45	3.960	77
28.90	3.090	53
36.41	2.468	66
38.49	2.339	82

Atomic structure:
```
14
Lattice="-2.101 4.801 5.920 2.101 -4.801 5.920 2.101 4.801 -5.920" Properties=species:S:1:pos:R:3 pbc="T T T"
Sc 0.000 0.000 0.000
Sc 0.000 0.000 3.435
Sc 0.000 0.000 8.405
Al 2.101 -1.287 1.694
Al 2.101 -2.041 4.300
Al 2.101 1.287 1.694
Al 0.000 2.760 1.620
Al 0.000 4.801 0.000
Al 2.101 2.041 4.300
Al 0.000 3.514 4.226
Al 0.000 6.842 1.620
Al 0.000 6.088 4.226
Ir 2.101 3.203 0.000
Ir 0.000 1.598 5.920
```

Entry 2:
Starting from a PBE-relaxed structure, the XRD peak list of AcPd2Pb6 was calculated for λ = 1.5418 Å (Cu Kα).
Peak positions follow from Bragg's law for the DFT cell and can differ from measured ones.

Principal peaks in the range 2θ from 10° to 80°, by angle:
2θ/deg	d/Å	I/Imax
31.01	2.884	100
31.53	2.837	16
38.00	2.368	38
50.18	1.818	18
55.82	1.647	15
64.34	1.448	26

Atomic structure:
```
9
Lattice="4.736 0.000 0.000 0.000 4.736 0.000 0.000 0.000 11.350" Properties=species:S:1:pos:R:3 pbc="T T T"
Ac 0.000 0.000 0.000
Pd 2.368 2.368 1.325
Pd 2.368 2.368 10.025
Pb 0.000 0.000 5.675
Pb 0.000 2.368 3.008
Pb 0.000 2.368 8.342
Pb 2.368 0.000 3.008
Pb 2.368 0.000 8.342
Pb 2.368 2.368 5.675
```

What did the second record say?
Starting from a PBE-relaxed structure, the XRD peak list of AcPd2Pb6 was calculated for λ = 1.5418 Å (Cu Kα).
Peak positions follow from Bragg's law for the DFT cell and can differ from measured ones.

Principal peaks in the range 2θ from 10° to 80°, by angle:
2θ/deg	d/Å	I/Imax
31.01	2.884	100
31.53	2.837	16
38.00	2.368	38
50.18	1.818	18
55.82	1.647	15
64.34	1.448	26

Atomic structure:
```
9
Lattice="4.736 0.000 0.000 0.000 4.736 0.000 0.000 0.000 11.350" Properties=species:S:1:pos:R:3 pbc="T T T"
Ac 0.000 0.000 0.000
Pd 2.368 2.368 1.325
Pd 2.368 2.368 10.025
Pb 0.000 0.000 5.675
Pb 0.000 2.368 3.008
Pb 0.000 2.368 8.342
Pb 2.368 0.000 3.008
Pb 2.368 0.000 8.342
Pb 2.368 2.368 5.675
```